Entry 1:
For Zr3Co2, the GGA-PBE geometry in OQMD gives the simulated PXRD pattern in this record (Cu Kα).
Peak positions follow from Bragg's law for the DFT cell and can differ from measured ones.

Main lines, in order of falling intensity (2θ = 10–90°):
| d/Å | 2θ (°) | I (rel.) |
| --- | --- | --- |
| 2.703 | 33.15 | 100 |
| 2.100 | 43.08 | 55 |
| 2.533 | 35.44 | 43 |
| 1.766 | 51.78 | 29 |
| 1.629 | 56.48 | 21 |
| 2.888 | 30.97 | 14 |
| 2.005 | 45.23 | 14 |
| 1.352 | 69.53 | 13 |
| 1.989 | 45.61 | 12 |
| 1.464 | 63.56 | 10 |

Crystal structure
a b c (Å): 6.769 6.769 6.769
angles (deg): 53.72 53.72 53.72
Fractional coordinates of all 10 atoms:
Zr: 0.140 0.750 0.360
Zr: 0.250 0.640 0.860
Zr: 0.360 0.140 0.750
Zr: 0.640 0.860 0.250
Zr: 0.750 0.360 0.140
Zr: 0.860 0.250 0.640
Co: 0.183 0.183 0.183
Co: 0.317 0.317 0.317
Co: 0.683 0.683 0.683
Co: 0.817 0.817 0.817



Entry 2:
For CsDy2Cu3S5, the GGA-PBE geometry in OQMD gives the simulated PXRD pattern in this record (Cu Kα).
Peak positions follow from Bragg's law for the DFT cell and can differ from measured ones.

Main lines, in order of falling intensity (2θ = 10–90°):
| d/Å | 2θ (°) | I (rel.) |
| --- | --- | --- |
| 3.152 | 28.31 | 100 |
| 2.796 | 32.01 | 60 |
| 3.442 | 25.89 | 60 |
| 2.979 | 29.99 | 53 |
| 2.848 | 31.41 | 49 |
| 2.455 | 36.61 | 49 |
| 1.982 | 45.77 | 48 |
| 1.879 | 48.44 | 46 |
| 3.028 | 29.50 | 38 |
| 2.294 | 39.27 | 36 |

Crystal structure
a b c (Å): 7.307 7.307 16.777
angles (deg): 90.00 90.00 148.51
Fractional coordinates of all 22 atoms:
Cs: 0.064 0.936 0.750
Cs: 0.936 0.064 0.250
Dy: 0.192 0.808 0.092
Dy: 0.192 0.808 0.408
Dy: 0.808 0.192 0.592
Dy: 0.808 0.192 0.908
Cu: 0.344 0.656 0.750
Cu: 0.416 0.584 0.036
Cu: 0.416 0.584 0.464
Cu: 0.584 0.416 0.536
Cu: 0.584 0.416 0.964
Cu: 0.656 0.344 0.250
S: 0.169 0.831 0.569
S: 0.169 0.831 0.931
S: 0.232 0.768 0.250
S: 0.438 0.562 0.609
S: 0.438 0.562 0.891
S: 0.562 0.438 0.109
S: 0.562 0.438 0.391
S: 0.768 0.232 0.750
S: 0.831 0.169 0.069
S: 0.831 0.169 0.431



Entry 3:
For CsDy2CuSeS3, the GGA-PBE geometry in OQMD gives the simulated PXRD pattern in this record (Cu Kα).
Peak positions follow from Bragg's law for the DFT cell and can differ from measured ones.

Main lines, in order of falling intensity (2θ = 10–90°):
| d/Å | 2θ (°) | I (rel.) |
| --- | --- | --- |
| 2.818 | 31.76 | 100 |
| 3.005 | 29.73 | 76 |
| 3.904 | 22.78 | 76 |
| 3.548 | 25.10 | 47 |
| 3.405 | 26.17 | 39 |
| 2.074 | 43.65 | 39 |
| 2.082 | 43.48 | 38 |
| 2.277 | 39.58 | 34 |
| 2.025 | 44.75 | 32 |
| 2.610 | 34.36 | 29 |

Crystal structure
a b c (Å): 7.379 7.379 14.035
angles (deg): 90.00 90.00 148.14
Fractional coordinates of all 16 atoms:
Cs: 0.113 0.887 0.750
Cs: 0.887 0.113 0.250
Dy: 0.366 0.634 0.558
Dy: 0.366 0.634 0.942
Dy: 0.634 0.366 0.058
Dy: 0.634 0.366 0.442
Cu: 0.172 0.828 0.250
Cu: 0.828 0.172 0.750
Se: 0.424 0.576 0.750
Se: 0.576 0.424 0.250
S: 0.000 0.000 0.000
S: 0.000 0.000 0.500
S: 0.253 0.747 0.104
S: 0.253 0.747 0.396
S: 0.747 0.253 0.604
S: 0.747 0.253 0.896



Entry 4:
For Cs2Dy4Cu4Se9, the GGA-PBE geometry in OQMD gives the simulated PXRD pattern in this record (Cu Kα).
Peak positions follow from Bragg's law for the DFT cell and can differ from measured ones.

Main lines, in order of falling intensity (2θ = 10–90°):
| d/Å | 2θ (°) | I (rel.) |
| --- | --- | --- |
| 3.111 | 28.70 | 100 |
| 3.165 | 28.19 | 98 |
| 2.919 | 30.63 | 87 |
| 2.071 | 43.72 | 86 |
| 3.090 | 28.90 | 64 |
| 6.961 | 12.72 | 63 |
| 2.046 | 44.28 | 50 |
| 2.394 | 37.57 | 49 |
| 2.955 | 30.25 | 45 |
| 2.643 | 33.92 | 43 |

Crystal structure
a b c (Å): 7.630 7.630 16.730
angles (deg): 107.87 107.87 31.49
Fractional coordinates of all 19 atoms:
Cs: 0.031 0.031 0.272
Cs: 0.969 0.969 0.728
Dy: 0.230 0.230 0.102
Dy: 0.347 0.347 0.445
Dy: 0.653 0.653 0.555
Dy: 0.770 0.770 0.898
Cu: 0.248 0.248 0.731
Cu: 0.427 0.427 0.032
Cu: 0.573 0.573 0.968
Cu: 0.752 0.752 0.269
Se: 0.000 0.000 0.500
Se: 0.140 0.140 0.925
Se: 0.292 0.292 0.598
Se: 0.341 0.341 0.275
Se: 0.394 0.394 0.876
Se: 0.606 0.606 0.124
Se: 0.659 0.659 0.725
Se: 0.708 0.708 0.402
Se: 0.860 0.860 0.075



Entry 5:
For CsDy2Cu3Te5, the GGA-PBE geometry in OQMD gives the simulated PXRD pattern in this record (Cu Kα).
Peak positions follow from Bragg's law for the DFT cell and can differ from measured ones.

Main lines, in order of falling intensity (2θ = 10–90°):
| d/Å | 2θ (°) | I (rel.) |
| --- | --- | --- |
| 3.288 | 27.12 | 100 |
| 3.068 | 29.11 | 64 |
| 3.343 | 26.67 | 61 |
| 3.142 | 28.41 | 59 |
| 2.704 | 33.12 | 57 |
| 2.190 | 41.22 | 55 |
| 2.067 | 43.81 | 53 |
| 2.533 | 35.44 | 34 |
| 2.259 | 39.90 | 33 |
| 2.384 | 37.74 | 28 |

Crystal structure
a b c (Å): 8.064 8.064 18.406
angles (deg): 90.00 90.00 148.48
Fractional coordinates of all 22 atoms:
Cs: 0.057 0.943 0.750
Cs: 0.943 0.057 0.250
Dy: 0.192 0.808 0.090
Dy: 0.192 0.808 0.410
Dy: 0.808 0.192 0.590
Dy: 0.808 0.192 0.910
Cu: 0.342 0.658 0.750
Cu: 0.415 0.585 0.025
Cu: 0.415 0.585 0.475
Cu: 0.585 0.415 0.525
Cu: 0.585 0.415 0.975
Cu: 0.658 0.342 0.250
Te: 0.164 0.836 0.573
Te: 0.164 0.836 0.927
Te: 0.244 0.756 0.250
Te: 0.443 0.557 0.616
Te: 0.443 0.557 0.884
Te: 0.557 0.443 0.116
Te: 0.557 0.443 0.384
Te: 0.756 0.244 0.750
Te: 0.836 0.164 0.073
Te: 0.836 0.164 0.427



Entry 6:
For CsEr2Cu3Se4S, the GGA-PBE geometry in OQMD gives the simulated PXRD pattern in this record (Cu Kα).
Peak positions follow from Bragg's law for the DFT cell and can differ from measured ones.

Main lines, in order of falling intensity (2θ = 10–90°):
| d/Å | 2θ (°) | I (rel.) |
| --- | --- | --- |
| 3.078 | 29.01 | 100 |
| 2.524 | 35.57 | 91 |
| 2.846 | 31.43 | 89 |
| 3.129 | 28.53 | 87 |
| 2.938 | 30.43 | 84 |
| 1.924 | 47.24 | 80 |
| 2.040 | 44.42 | 77 |
| 2.378 | 37.84 | 63 |
| 3.574 | 24.91 | 63 |
| 3.234 | 27.58 | 59 |

Crystal structure
a b c (Å): 7.594 7.594 17.079
angles (deg): 90.00 90.00 148.84
Fractional coordinates of all 22 atoms:
Cs: 0.066 0.934 0.750
Cs: 0.934 0.066 0.250
Er: 0.193 0.807 0.095
Er: 0.193 0.807 0.405
Er: 0.807 0.193 0.595
Er: 0.807 0.193 0.905
Cu: 0.339 0.661 0.750
Cu: 0.416 0.584 0.031
Cu: 0.416 0.584 0.469
Cu: 0.584 0.416 0.531
Cu: 0.584 0.416 0.969
Cu: 0.661 0.339 0.250
Se: 0.169 0.831 0.570
Se: 0.169 0.831 0.930
Se: 0.439 0.561 0.614
Se: 0.439 0.561 0.886
Se: 0.561 0.439 0.114
Se: 0.561 0.439 0.386
Se: 0.831 0.169 0.070
Se: 0.831 0.169 0.430
S: 0.232 0.768 0.250
S: 0.768 0.232 0.750



Entry 7:
For Cs2ZrCu3F12, the GGA-PBE geometry in OQMD gives the simulated PXRD pattern in this record (Cu Kα).
Peak positions follow from Bragg's law for the DFT cell and can differ from measured ones.

Main lines, in order of falling intensity (2θ = 10–90°):
| d/Å | 2θ (°) | I (rel.) |
| --- | --- | --- |
| 3.030 | 29.48 | 100 |
| 3.189 | 27.98 | 73 |
| 2.992 | 29.86 | 53 |
| 3.097 | 28.83 | 50 |
| 3.135 | 28.47 | 46 |
| 1.829 | 49.86 | 44 |
| 2.863 | 31.24 | 38 |
| 3.520 | 25.30 | 37 |
| 3.658 | 24.33 | 36 |
| 1.760 | 51.95 | 32 |

Crystal structure
a b c (Å): 7.529 6.956 10.099
angles (deg): 90.00 93.24 90.00
Fractional coordinates of all 36 atoms:
Cs: 0.013 0.250 0.142
Cs: 0.452 0.750 0.623
Cs: 0.548 0.250 0.377
Cs: 0.987 0.750 0.858
Zr: 0.300 0.750 0.246
Zr: 0.700 0.250 0.754
Cu: 0.000 0.000 0.500
Cu: 0.000 0.500 0.500
Cu: 0.212 0.250 0.776
Cu: 0.500 0.000 0.000
Cu: 0.500 0.500 0.000
Cu: 0.788 0.750 0.224
F: 0.047 0.250 0.433
F: 0.060 0.750 0.145
F: 0.143 0.042 0.661
F: 0.143 0.458 0.661
F: 0.236 0.568 0.396
F: 0.236 0.932 0.396
F: 0.280 0.054 0.903
F: 0.280 0.446 0.903
F: 0.351 0.029 0.179
F: 0.351 0.471 0.179
F: 0.395 0.750 0.040
F: 0.453 0.250 0.663
F: 0.547 0.750 0.337
F: 0.605 0.250 0.960
F: 0.649 0.529 0.821
F: 0.649 0.971 0.821
F: 0.720 0.554 0.097
F: 0.720 0.946 0.097
F: 0.764 0.068 0.604
F: 0.764 0.432 0.604
F: 0.857 0.542 0.339
F: 0.857 0.958 0.339
F: 0.940 0.250 0.855
F: 0.953 0.750 0.567



Entry 8:
For CsFeCuTeSe2, the GGA-PBE geometry in OQMD gives the simulated PXRD pattern in this record (Cu Kα).
Peak positions follow from Bragg's law for the DFT cell and can differ from measured ones.

Main lines, in order of falling intensity (2θ = 10–90°):
| d/Å | 2θ (°) | I (rel.) |
| --- | --- | --- |
| 2.971 | 30.08 | 100 |
| 8.499 | 10.41 | 45 |
| 2.535 | 35.41 | 34 |
| 1.698 | 53.99 | 33 |
| 3.257 | 27.38 | 26 |
| 1.887 | 48.22 | 24 |
| 2.648 | 33.86 | 24 |
| 2.248 | 40.11 | 20 |
| 1.742 | 52.53 | 20 |
| 1.612 | 57.12 | 19 |

Crystal structure
a b c (Å): 8.700 8.700 10.139
angles (deg): 90.00 90.00 155.34
Fractional coordinates of all 12 atoms:
Cs: 0.236 0.764 0.750
Cs: 0.764 0.236 0.250
Fe: 0.000 0.000 0.000
Fe: 0.000 0.000 0.500
Cu: 0.458 0.542 0.250
Cu: 0.542 0.458 0.750
Te: 0.064 0.936 0.250
Te: 0.936 0.064 0.750
Se: 0.399 0.601 0.038
Se: 0.399 0.601 0.462
Se: 0.601 0.399 0.538
Se: 0.601 0.399 0.962



Entry 9:
For CsGd2Cu3S5, the GGA-PBE geometry in OQMD gives the simulated PXRD pattern in this record (Cu Kα).
Peak positions follow from Bragg's law for the DFT cell and can differ from measured ones.

Main lines, in order of falling intensity (2θ = 10–90°):
| d/Å | 2θ (°) | I (rel.) |
| --- | --- | --- |
| 3.171 | 28.15 | 100 |
| 2.818 | 31.75 | 61 |
| 3.449 | 25.83 | 61 |
| 2.991 | 29.87 | 52 |
| 2.860 | 31.28 | 51 |
| 2.467 | 36.41 | 50 |
| 1.993 | 45.52 | 50 |
| 1.891 | 48.12 | 47 |
| 3.041 | 29.37 | 38 |
| 2.301 | 39.15 | 36 |

Crystal structure
a b c (Å): 7.322 7.322 16.907
angles (deg): 90.00 90.00 148.42
Fractional coordinates of all 22 atoms:
Cs: 0.063 0.937 0.750
Cs: 0.937 0.063 0.250
Gd: 0.192 0.808 0.091
Gd: 0.192 0.808 0.409
Gd: 0.808 0.192 0.591
Gd: 0.808 0.192 0.909
Cu: 0.342 0.658 0.750
Cu: 0.416 0.584 0.036
Cu: 0.416 0.584 0.464
Cu: 0.584 0.416 0.536
Cu: 0.584 0.416 0.964
Cu: 0.658 0.342 0.250
S: 0.167 0.833 0.569
S: 0.167 0.833 0.931
S: 0.231 0.769 0.250
S: 0.439 0.561 0.608
S: 0.439 0.561 0.892
S: 0.561 0.439 0.108
S: 0.561 0.439 0.392
S: 0.769 0.231 0.750
S: 0.833 0.167 0.069
S: 0.833 0.167 0.431



Entry 10:
For CsGd2CuTeSe3, the GGA-PBE geometry in OQMD gives the simulated PXRD pattern in this record (Cu Kα).
Peak positions follow from Bragg's law for the DFT cell and can differ from measured ones.

Main lines, in order of falling intensity (2θ = 10–90°):
| d/Å | 2θ (°) | I (rel.) |
| --- | --- | --- |
| 2.979 | 30.00 | 100 |
| 3.182 | 28.04 | 79 |
| 2.204 | 40.95 | 58 |
| 2.386 | 37.70 | 44 |
| 4.104 | 21.66 | 41 |
| 2.137 | 42.29 | 39 |
| 2.735 | 32.75 | 36 |
| 3.297 | 27.04 | 35 |
| 3.260 | 27.36 | 34 |
| 1.794 | 50.91 | 26 |

Crystal structure
a b c (Å): 7.859 7.859 14.655
angles (deg): 90.00 90.00 148.45
Fractional coordinates of all 16 atoms:
Cs: 0.103 0.897 0.750
Cs: 0.897 0.103 0.250
Gd: 0.357 0.643 0.566
Gd: 0.357 0.643 0.934
Gd: 0.643 0.357 0.066
Gd: 0.643 0.357 0.434
Cu: 0.167 0.833 0.250
Cu: 0.833 0.167 0.750
Te: 0.000 0.000 0.000
Te: 0.000 0.000 0.500
Se: 0.261 0.739 0.109
Se: 0.261 0.739 0.391
Se: 0.417 0.583 0.750
Se: 0.583 0.417 0.250
Se: 0.739 0.261 0.609
Se: 0.739 0.261 0.891



Entry 11:
For CsGd2Cu3TeSe4, the GGA-PBE geometry in OQMD gives the simulated PXRD pattern in this record (Cu Kα).
Peak positions follow from Bragg's law for the DFT cell and can differ from measured ones.

Main lines, in order of falling intensity (2θ = 10–90°):
| d/Å | 2θ (°) | I (rel.) |
| --- | --- | --- |
| 2.986 | 29.92 | 100 |
| 3.145 | 28.38 | 99 |
| 3.009 | 29.69 | 87 |
| 1.998 | 45.39 | 76 |
| 2.413 | 37.26 | 73 |
| 2.106 | 42.94 | 67 |
| 2.601 | 34.48 | 61 |
| 3.195 | 27.93 | 52 |
| 1.721 | 53.22 | 39 |
| 7.354 | 12.03 | 34 |

Crystal structure
a b c (Å): 7.650 7.650 17.918
angles (deg): 90.00 90.00 148.04
Fractional coordinates of all 22 atoms:
Cs: 0.051 0.949 0.750
Cs: 0.949 0.051 0.250
Gd: 0.189 0.811 0.085
Gd: 0.189 0.811 0.415
Gd: 0.811 0.189 0.585
Gd: 0.811 0.189 0.915
Cu: 0.348 0.652 0.750
Cu: 0.414 0.586 0.031
Cu: 0.414 0.586 0.469
Cu: 0.586 0.414 0.531
Cu: 0.586 0.414 0.969
Cu: 0.652 0.348 0.250
Te: 0.244 0.756 0.250
Te: 0.756 0.244 0.750
Se: 0.167 0.833 0.571
Se: 0.167 0.833 0.929
Se: 0.441 0.559 0.609
Se: 0.441 0.559 0.891
Se: 0.559 0.441 0.109
Se: 0.559 0.441 0.391
Se: 0.833 0.167 0.071
Se: 0.833 0.167 0.429